No. 1
# H5AuCSBr3
Computed powder diffractogram, copper Kα. Input: a PBE-relaxed structure.
Neutral-atom scattering factors, no anomalous dispersion.

Lattice parameters (Å, degrees): 5.4194 8.8246 9.2382 90.86 93.62 95.08
Space group P1 (No. 1)
One atom of each set of equivalent atoms:
H: 0.0000 0.0000 0.0000 x1
H: 0.0041 0.8269 0.7493 x1
H: 0.0576 0.4177 0.5001 x1
H: 0.5883 0.4151 0.2435 x1
H: 0.6245 0.5116 0.4190 x1
H: 0.6314 0.0007 0.9636 x1
H: 0.6788 0.8370 0.7102 x1
H: 0.7750 0.2452 0.4613 x1
H: 0.8277 0.5677 0.2770 x1
H: 0.8828 0.0110 0.7281 x1
Au: 0.3263 0.3649 0.8445 x1
Au: 0.3356 0.9128 0.3391 x1
C: 0.7194 0.4732 0.3258 x1
C: 0.8472 0.8945 0.7652 x1
S: 0.8023 0.8934 0.9580 x1
S: 0.9351 0.3367 0.3817 x1
Br: 0.2786 0.7060 0.1540 x1
Br: 0.3183 0.5656 0.6597 x1
Br: 0.3352 0.1694 0.0356 x1
Br: 0.3937 0.1179 0.5284 x1
Br: 0.8257 0.3584 0.8412 x1
Br: 0.8353 0.9148 0.3364 x1

The 10 most intense peaks (2θ = 15–90°), by angle:
2θ = 16.46°, I = 100; 2θ = 19.26°, I = 51; 2θ = 20.21°, I = 40; 2θ = 20.50°, I = 43; 2θ = 27.76°, I = 78; 2θ = 28.35°, I = 84; 2θ = 33.26°, I = 73; 2θ = 34.78°, I = 37; 2θ = 35.92°, I = 32; 2θ = 42.15°, I = 37

***

No. 2
# H5AuCSBr3
Computed powder diffractogram, copper Kα. Input: a PBE-relaxed structure.
Neutral-atom scattering factors, no anomalous dispersion.

Lattice parameters (Å, degrees): 7.3062 10.2234 14.2743 84.39 85.30 85.49
Space group P1 (No. 1)
One atom of each set of equivalent atoms:
H: 0.0000 0.0000 0.0000 x1
H: 0.0002 0.4555 0.5567 x1
H: 0.0083 0.2907 0.5228 x1
H: 0.0276 0.8015 0.0251 x1
H: 0.2388 0.3735 0.9713 x1
H: 0.3623 0.4338 0.0614 x1
H: 0.4248 0.8987 0.6128 x1
H: 0.4359 0.2776 0.0180 x1
H: 0.4392 0.5779 0.8992 x1
H: 0.4607 0.4134 0.8305 x1
H: 0.5260 0.0932 0.7069 x1
H: 0.5396 0.0537 0.5352 x1
H: 0.6449 0.9404 0.7512 x1
H: 0.7707 0.0615 0.6796 x1
H: 0.7932 0.3921 0.5235 x1
H: 0.7931 0.9256 0.1470 x1
H: 0.8817 0.5659 0.3854 x1
H: 0.8943 0.3793 0.3450 x1
H: 0.9645 0.0124 0.1949 x1
H: 0.9700 0.8359 0.2147 x1
Au: 0.0421 0.7250 0.7825 x1
Au: 0.0743 0.2462 0.8138 x1
Au: 0.4545 0.1643 0.3187 x1
Au: 0.4627 0.6656 0.2874 x1
C: 0.3732 0.3767 0.9995 x1
C: 0.6376 0.0181 0.6929 x1
C: 0.9360 0.9217 0.1654 x1
C: 0.9431 0.3907 0.5115 x1
S: 0.0082 0.4507 0.3906 x1
S: 0.0938 0.9076 0.0618 x1
S: 0.5315 0.4556 0.9116 x1
S: 0.6019 0.9389 0.5884 x1
Br: 0.1310 0.8294 0.6228 x1
Br: 0.1890 0.0485 0.3953 x1
Br: 0.2347 0.6073 0.1875 x1
Br: 0.3122 0.8067 0.8468 x1
Br: 0.3198 0.3542 0.7185 x1
Br: 0.4190 0.0658 0.1712 x1
Br: 0.4844 0.2605 0.4694 x1
Br: 0.6876 0.7259 0.3893 x1
Br: 0.7218 0.2786 0.2415 x1
Br: 0.7780 0.6371 0.7184 x1
Br: 0.8266 0.1397 0.9074 x1
Br: 0.9426 0.6310 0.9437 x1

The 10 most intense peaks (2θ = 15–90°), by angle:
2θ = 17.48°, I = 54; 2θ = 18.02°, I = 21; 2θ = 20.58°, I = 40; 2θ = 22.47°, I = 26; 2θ = 22.77°, I = 95; 2θ = 23.16°, I = 100; 2θ = 24.53°, I = 19; 2θ = 30.64°, I = 19; 2θ = 40.14°, I = 20; 2θ = 40.75°, I = 19

***

No. 3
# AuC2S2BrN4
Computed powder diffractogram, copper Kα. Input: a PBE-relaxed structure.
Neutral-atom scattering factors, no anomalous dispersion.

Lattice parameters (Å, degrees): 6.7310 22.4109 6.2114 90.00 97.18 90.00
Space group C2/c (No. 15)
One atom of each set of equivalent atoms:
Au: 0.0000 0.0000 0.0000 x4
C: 0.2460 0.1768 0.3963 x8
S: 0.0143 0.1027 0.5555 x8
Br: 0.0000 0.3824 0.2500 x4
N: 0.2360 0.2824 0.7183 x8
N: 0.2376 0.1265 0.5100 x8

The 10 most intense peaks (2θ = 15–90°), by angle:
2θ = 17.82°, I = 100; 2θ = 23.89°, I = 49; 2θ = 26.70°, I = 28; 2θ = 27.89°, I = 62; 2θ = 30.08°, I = 30; 2θ = 30.66°, I = 49; 2θ = 31.95°, I = 24; 2θ = 33.76°, I = 41; 2θ = 42.10°, I = 21; 2θ = 45.47°, I = 24

***

No. 4
# CaAu2Br6
Computed powder diffractogram, copper Kα. Input: a PBE-relaxed structure.
Neutral-atom scattering factors, no anomalous dispersion.

Lattice parameters (Å, degrees): 12.3513 13.8625 7.8164 90.00 114.41 90.00
Space group C2/c (No. 15)
One atom of each set of equivalent atoms:
Ca: 0.0000 0.1079 0.2500 x4
Au: 0.1354 0.4178 0.1463 x8
Br: 0.0935 0.4028 0.5814 x8
Br: 0.1349 0.0459 0.6433 x8
Br: 0.1619 0.2376 0.1817 x8

The 10 most intense peaks (2θ = 15–90°), by angle:
2θ = 17.86°, I = 20; 2θ = 18.43°, I = 25; 2θ = 20.16°, I = 21; 2θ = 23.41°, I = 100; 2θ = 28.65°, I = 24; 2θ = 31.82°, I = 36; 2θ = 34.97°, I = 27; 2θ = 39.00°, I = 25; 2θ = 44.34°, I = 19; 2θ = 45.97°, I = 22

***

No. 5
# CaAu2Br
Computed powder diffractogram, copper Kα. Input: a PBE-relaxed structure.
Neutral-atom scattering factors, no anomalous dispersion.

Lattice parameters (Å, degrees): 7.9630 4.5683 7.0475 90.00 109.61 90.00
Space group Cm (No. 8)
One atom of each set of equivalent atoms:
Ca: 0.0000 0.0000 0.0000 x2
Au: 0.0788 0.5000 0.7080 x2
Au: 0.2528 0.0000 0.7285 x2
Br: 0.2350 0.5000 0.2281 x2

The 10 most intense peaks (2θ = 15–90°), by angle:
2θ = 24.36°, I = 53; 2θ = 26.86°, I = 96; 2θ = 28.49°, I = 86; 2θ = 29.34°, I = 44; 2θ = 39.28°, I = 100; 2θ = 39.45°, I = 50; 2θ = 41.16°, I = 35; 2θ = 47.32°, I = 42; 2θ = 48.37°, I = 40; 2θ = 49.13°, I = 37

***

No. 6
# CdAu2Br
Computed powder diffractogram, copper Kα. Input: a PBE-relaxed structure.
Neutral-atom scattering factors, no anomalous dispersion.

Lattice parameters (Å, degrees): 3.6313 3.5944 7.2565 90.00 90.09 90.00
Space group Pm (No. 6)
One atom of each set of equivalent atoms:
Cd: 0.0000 0.0000 0.0000 x1
Au: 0.4986 0.5000 0.7952 x1
Au: 0.9979 0.0000 0.6155 x1
Br: 0.9936 0.5000 0.2970 x1

The 10 most intense peaks (2θ = 15–90°), by angle:
2θ = 24.52°, I = 14; 2θ = 34.96°, I = 28; 2θ = 35.14°, I = 100; 2θ = 37.32°, I = 62; 2θ = 45.03°, I = 35; 2θ = 45.18°, I = 18; 2θ = 50.26°, I = 18; 2θ = 62.80°, I = 23; 2θ = 70.20°, I = 19; 2θ = 75.31°, I = 16